Starting from a structure optimized by DFT (PBE), the X-ray diffraction stick pattern of CsPuMn2Te4 was computed for a wavelength of 1.5418 Å.

Structure:
Cell lengths 9.1097, 9.1097, 9.1097 Å; angles 153.83, 127.93, 59.19 degrees
Element x y z (fractional)
Cs1 0.0000 0.0000 0.0000
Pu1 0.5000 0.5000 0.0000
Mn1 0.2895 0.7895 0.5000
Mn2 0.7105 0.2105 0.5000
Te1 0.1130 0.3466 0.7664
Te2 0.4198 0.6534 0.7664
Te3 0.5802 0.3466 0.2336
Te4 0.8870 0.6534 0.2336

The 10 most intense peaks (2θ from 5° to 70°), in order of rising 2θ:
12.40°, I = 36; 22.27°, I = 50; 24.95°, I = 55; 26.80°, I = 98; 31.80°, I = 100; 33.95°, I = 42; 35.59°, I = 100; 41.93°, I = 39; 45.74°, I = 33; 55.22°, I = 42

Starting from a structure optimized by DFT (PBE), the X-ray diffraction stick pattern of CsRbMn3 was computed for a wavelength of 1.5418 Å.

Structure:
Cell lengths 6.1523, 6.1523, 6.1523 Å; angles 90.00, 90.00, 90.00 degrees
Element x y z (fractional)
Cs1 0.0000 0.0000 0.0000
Rb1 0.5000 0.5000 0.5000
Mn1 0.0000 0.0000 0.5000
Mn2 0.0000 0.5000 0.0000
Mn3 0.5000 0.0000 0.0000

The 10 most intense peaks (2θ from 5° to 70°), in order of rising 2θ:
14.40°, I = 36; 20.41°, I = 81; 25.07°, I = 21; 29.03°, I = 100; 32.54°, I = 19; 35.75°, I = 39; 41.52°, I = 73; 51.45°, I = 25; 55.92°, I = 22; 68.17°, I = 32

Starting from a structure optimized by DFT (PBE), the X-ray diffraction stick pattern of Cs4MnS4 was computed for a wavelength of 1.5418 Å.

Structure:
Cell lengths 9.6941, 9.6941, 7.1777 Å; angles 90.00, 90.00, 90.00 degrees
Element x y z (fractional)
Cs1 0.0275 0.2500 0.0958
Cs2 0.2500 0.0275 0.5958
Cs3 0.2500 0.4725 0.5958
Cs4 0.4725 0.2500 0.0958
Cs5 0.5275 0.7500 0.9042
Cs6 0.7500 0.5275 0.4042
Cs7 0.7500 0.9725 0.4042
Cs8 0.9725 0.7500 0.9042
Mn1 0.2500 0.7500 0.2500
Mn2 0.7500 0.2500 0.7500
S1 0.0556 0.7500 0.4113
S2 0.2500 0.5556 0.0887
S3 0.2500 0.9444 0.0887
S4 0.4444 0.7500 0.4113
S5 0.5556 0.2500 0.5887
S6 0.7500 0.0556 0.9113
S7 0.7500 0.4444 0.9113
S8 0.9444 0.2500 0.5887

The 10 most intense peaks (2θ from 5° to 70°), in order of rising 2θ:
22.13°, I = 98; 23.98°, I = 71; 26.00°, I = 100; 26.48°, I = 70; 31.74°, I = 37; 32.38°, I = 50; 37.10°, I = 47; 41.99°, I = 44; 43.62°, I = 33; 47.27°, I = 24